1.
# Sm2Cd3I
Theoretical XRD peak list, copper Kα. Input: DFT lattice parameters and positions (PBE).
Peak positions follow from Bragg's law for the DFT cell and can differ from measured ones.

Most intense lines, 10° ≤ 2θ ≤ 90°, sorted by position:
2θ (°)  I_rel
27.6  41
28.1  24
31.8  100
32.3  41
34.1  76
34.5  33
36.5  43
48.0  20
48.9  34
61.7  24

Atomic structure:
Unit cell a=6.4137 b=3.7928 c=7.6815 alpha=90.00 beta=105.95 gamma=90.00
Space group Pm (No. 6)
Symmetry-distinct sites (fractional):
Sm1 0.0000 0.0000 0.0000 (multiplicity 1)
Sm2 0.4781 0.5000 0.0037 (multiplicity 1)
Cd1 0.2085 0.0000 0.6485 (multiplicity 1)
Cd2 0.2245 0.5000 0.3328 (multiplicity 1)
Cd3 0.7823 0.0000 0.3244 (multiplicity 1)
I1 0.7138 0.5000 0.6888 (multiplicity 1)

=====

2.
# Tl3Cd2I7
Theoretical XRD peak list, copper Kα. Input: DFT lattice parameters and positions (PBE).
Peak positions follow from Bragg's law for the DFT cell and can differ from measured ones.

Most intense lines, 10° ≤ 2θ ≤ 90°, sorted by position:
2θ (°)  I_rel
26.0  53
27.0  100
27.8  46
28.0  23
29.2  28
32.1  34
39.3  33
40.4  20
41.1  20
47.7  16

Atomic structure:
Unit cell a=14.0557 b=15.2308 c=4.5873 alpha=90.00 beta=90.00 gamma=90.00
Space group Pbam (No. 55)
Symmetry-distinct sites (fractional):
Tl1 0.0000 0.0000 0.0000 (multiplicity 2)
Tl2 0.1066 0.3629 0.0000 (multiplicity 4)
Cd1 0.2407 0.6124 0.5000 (multiplicity 4)
I1 0.0000 0.5000 0.5000 (multiplicity 2)
I2 0.0680 0.1819 0.5000 (multiplicity 4)
I3 0.1559 0.6946 0.0000 (multiplicity 4)
I4 0.2042 0.9355 0.5000 (multiplicity 4)

=====

3.
# ZnCdI4
Theoretical XRD peak list, copper Kα. Input: DFT lattice parameters and positions (PBE).
Peak positions follow from Bragg's law for the DFT cell and can differ from measured ones.

Most intense lines, 10° ≤ 2θ ≤ 90°, sorted by position:
2θ (°)  I_rel
13.3  11
21.7  19
24.6  100
29.3  13
40.2  49
41.9  23
46.1  16
49.2  30
64.0  12
75.3  15

Atomic structure:
Unit cell a=4.3128 b=4.3128 c=13.2766 alpha=90.00 beta=90.00 gamma=90.00
Space group P-4m2 (No. 115)
Symmetry-distinct sites (fractional):
Zn1 0.0000 0.0000 0.0000 (multiplicity 1)
Cd1 0.5000 0.5000 0.5000 (multiplicity 1)
I1 0.0000 0.5000 0.3623 (multiplicity 2)
I2 0.0000 0.5000 0.8807 (multiplicity 2)

=====

4.
# CdIn
Theoretical XRD peak list, copper Kα. Input: DFT lattice parameters and positions (PBE).
Peak positions follow from Bragg's law for the DFT cell and can differ from measured ones.

Most intense lines, 10° ≤ 2θ ≤ 90°, sorted by position:
2θ (°)  I_rel
22.3  21
27.0  85
38.0  100
39.2  82
48.2  17
52.0  13
55.7  32
63.8  14
70.2  31
77.0  21

Atomic structure:
Unit cell a=4.6003 b=4.6003 c=5.8795 alpha=90.00 beta=90.00 gamma=120.00
Space group P6_3/mmc (No. 194)
Symmetry-distinct sites (fractional):
Cd1 0.0000 0.0000 0.0000 (multiplicity 2)
In1 0.3333 0.6667 0.2500 (multiplicity 2)